No. 1
MgNi2Bi4O12: theoretical powder diffractogram (Cu Kα (λ = 1.5418 Å)), based on a structure optimized by DFT (PBE+U).

The 10 most intense peaks (2θ = 10–80°), by intensity:
| 2theta | d (Å) | I/Imax |
| --- | --- | --- |
| 24.57 | 3.623 | 1000 |
| 24.85 | 3.583 | 986 |
| 32.54 | 2.752 | 871 |
| 32.25 | 2.776 | 869 |
| 48.76 | 1.868 | 413 |
| 49.07 | 1.857 | 382 |
| 34.69 | 2.586 | 361 |
| 48.14 | 1.890 | 333 |
| 48.45 | 1.879 | 326 |
| 19.84 | 4.476 | 299 |

```
MgNi2Bi4O12
1.0
5.0225 0.0000 0.0000
0.0000 9.8676 0.0000
-0.0580 0.0000 5.1723
Mg Ni Bi O
1 2 4 12
direct
0.0000 0.0000 0.0000 Mg
0.0000 0.4998 0.5000 Ni
0.5000 0.0003 0.0000 Ni
0.0000 0.1771 0.5000 Bi
0.0000 0.8230 0.5000 Bi
0.5000 0.3333 0.0000 Bi
0.5000 0.6665 0.0000 Bi
0.2134 0.3380 0.3324 O
0.2137 0.0006 0.3212 O
0.2145 0.6616 0.3336 O
0.2612 0.8514 0.8451 O
0.2618 0.1490 0.8443 O
0.2836 0.4996 0.8102 O
0.7164 0.4996 0.1898 O
0.7382 0.1490 0.1557 O
0.7388 0.8514 0.1549 O
0.7863 0.0006 0.6788 O
0.7855 0.6616 0.6664 O
0.7866 0.3380 0.6676 O
```

=====

No. 2
Li4Mn2P3O12: theoretical powder diffractogram (Cu Kα (λ = 1.5418 Å)), based on a structure optimized by DFT (PBE+U).

The 10 most intense peaks (2θ = 10–80°), by intensity:
| 2theta | d (Å) | I/Imax |
| --- | --- | --- |
| 23.91 | 3.722 | 1000 |
| 14.27 | 6.207 | 832 |
| 28.76 | 3.104 | 743 |
| 19.31 | 4.597 | 679 |
| 31.96 | 2.800 | 635 |
| 23.08 | 3.854 | 600 |
| 23.77 | 3.743 | 532 |
| 19.88 | 4.466 | 528 |
| 24.07 | 3.698 | 500 |
| 20.05 | 4.428 | 408 |

```
Li4Mn2P3O12
1.0
8.5832 0.0000 0.0000
4.1995 7.6229 0.0000
4.2092 -2.2643 7.4755
Li Mn P O
8 4 6 24
direct
0.0591 0.2291 0.3284 Li
0.0644 0.2778 0.9437 Li
0.1467 0.0800 0.6333 Li
0.4316 0.3950 0.8561 Li
0.5684 0.6050 0.1439 Li
0.8533 0.9200 0.3667 Li
0.9356 0.7222 0.0563 Li
0.9409 0.7709 0.6716 Li
0.2795 0.3625 0.5651 Mn
0.2957 0.8562 0.0432 Mn
0.7043 0.1438 0.9568 Mn
0.7205 0.6375 0.4349 Mn
0.1978 0.5679 0.2511 P
0.2080 0.7475 0.7556 P
0.4979 0.9598 0.2432 P
0.5021 0.0402 0.7568 P
0.7920 0.2525 0.2444 P
0.8022 0.4321 0.7489 P
0.0057 0.3447 0.7552 O
0.0496 0.9292 0.7436 O
0.1239 0.6199 0.7689 O
0.1416 0.5622 0.4427 O
0.1883 0.7660 0.9422 O
0.2734 0.7060 0.2131 O
0.3199 0.0132 0.8862 O
0.3477 0.9884 0.1791 O
0.3539 0.0999 0.4288 O
0.3671 0.3809 0.1076 O
0.3794 0.2415 0.7568 O
0.4314 0.6726 0.6042 O
0.5686 0.3274 0.3958 O
0.6206 0.7585 0.2432 O
0.6329 0.6191 0.8924 O
0.6461 0.9001 0.5712 O
0.6523 0.0116 0.8209 O
0.6801 0.9868 0.1138 O
0.7266 0.2940 0.7869 O
0.8117 0.2340 0.0578 O
0.8584 0.4378 0.5573 O
0.8761 0.3801 0.2311 O
0.9504 0.0708 0.2564 O
0.9943 0.6553 0.2448 O
```

=====

No. 3
SrNi3P4O14: theoretical powder diffractogram (Cu Kα (λ = 1.5418 Å)), based on a structure optimized by DFT (PBE+U).

The 10 most intense peaks (2θ = 10–80°), by intensity:
| 2theta | d (Å) | I/Imax |
| --- | --- | --- |
| 33.16 | 2.702 | 1000 |
| 30.08 | 2.971 | 998 |
| 29.93 | 2.986 | 992 |
| 26.33 | 3.385 | 988 |
| 28.41 | 3.142 | 827 |
| 36.15 | 2.485 | 775 |
| 33.61 | 2.667 | 738 |
| 20.09 | 4.419 | 692 |
| 36.34 | 2.472 | 584 |
| 30.38 | 2.943 | 576 |

```
SrNi3P4O14
1.0
7.5063 0.0000 0.0000
0.0000 7.7673 0.0000
-3.6178 0.0000 8.8382
Sr Ni P O
2 6 8 28
direct
0.0000 0.0000 0.0000 Sr
0.0000 0.5000 0.5000 Sr
0.3157 0.1261 0.4752 Ni
0.3157 0.3739 0.9752 Ni
0.5000 0.0000 0.0000 Ni
0.5000 0.5000 0.5000 Ni
0.6843 0.6261 0.0248 Ni
0.6843 0.8739 0.5248 Ni
0.1037 0.0583 0.7013 P
0.1037 0.4417 0.2013 P
0.3892 0.7030 0.1931 P
0.3892 0.7970 0.6931 P
0.6108 0.2030 0.3069 P
0.6108 0.2970 0.8069 P
0.8963 0.5583 0.7987 P
0.8963 0.9417 0.2987 P
0.0996 0.5189 0.8072 O
0.0996 0.9811 0.3072 O
0.1248 0.1806 0.5839 O
0.1248 0.3194 0.0839 O
0.1821 0.6284 0.1770 O
0.1821 0.8716 0.6770 O
0.2313 0.1165 0.8656 O
0.2313 0.3835 0.3656 O
0.3445 0.6250 0.6107 O
0.3445 0.8750 0.1107 O
0.4741 0.5749 0.1123 O
0.4741 0.9251 0.6123 O
0.4991 0.7096 0.3652 O
0.4991 0.7904 0.8652 O
0.5009 0.2096 0.1348 O
0.5009 0.2904 0.6348 O
0.5259 0.0749 0.3877 O
0.5259 0.4251 0.8877 O
0.6555 0.1250 0.8893 O
0.6555 0.3750 0.3893 O
0.7687 0.6165 0.6344 O
0.7687 0.8835 0.1344 O
0.8179 0.1284 0.3230 O
0.8179 0.3716 0.8230 O
0.8752 0.6806 0.9161 O
0.8752 0.8194 0.4161 O
0.9004 0.0189 0.6928 O
0.9004 0.4811 0.1928 O
```

=====

No. 4
Ti3Mn2P6WO24: theoretical powder diffractogram (Cu Kα (λ = 1.5418 Å)), based on a structure optimized by DFT (PBE+U).

The 10 most intense peaks (2θ = 10–80°), by intensity:
| 2theta | d (Å) | I/Imax |
| --- | --- | --- |
| 20.34 | 4.366 | 1000 |
| 23.89 | 3.724 | 834 |
| 32.40 | 2.763 | 666 |
| 35.62 | 2.520 | 433 |
| 55.70 | 1.650 | 371 |
| 12.41 | 7.132 | 315 |
| 46.48 | 1.954 | 267 |
| 48.92 | 1.862 | 255 |
| 31.58 | 2.833 | 216 |
| 14.34 | 6.176 | 188 |

```
Ti3Mn2P6WO24
1.0
4.3646 2.5199 7.1407
-4.3646 2.5199 7.1407
0.0000 -5.0398 7.1407
Ti Mn P W O
3 2 6 1 24
direct
0.0000 0.0000 0.0000 Ti
0.2087 0.2087 0.2087 Ti
0.5011 0.5011 0.5011 Ti
0.3537 0.3537 0.3537 Mn
0.8571 0.8571 0.8571 Mn
0.1107 0.3938 0.8118 P
0.3069 0.9008 0.6031 P
0.3938 0.8118 0.1107 P
0.6031 0.3069 0.9008 P
0.8118 0.1107 0.3938 P
0.9008 0.6031 0.3069 P
0.7130 0.7130 0.7130 W
0.0468 0.2368 0.8536 O
0.0916 0.4383 0.2866 O
0.1156 0.9147 0.7662 O
0.1726 0.3462 0.9719 O
0.2368 0.8536 0.0468 O
0.2729 0.4083 0.6197 O
0.2866 0.0916 0.4383 O
0.3462 0.9719 0.1726 O
0.3542 0.7363 0.5451 O
0.4083 0.6197 0.2729 O
0.4383 0.2866 0.0916 O
0.4593 0.8723 0.6598 O
0.5451 0.3542 0.7363 O
0.5872 0.8011 0.9535 O
0.6197 0.2729 0.4083 O
0.6598 0.4593 0.8723 O
0.7363 0.5451 0.3542 O
0.7662 0.1156 0.9147 O
0.8011 0.9535 0.5872 O
0.8536 0.0468 0.2368 O
0.8723 0.6598 0.4593 O
0.9147 0.7662 0.1156 O
0.9535 0.5872 0.8011 O
0.9719 0.1726 0.3462 O
```

=====

No. 5
MgCr3S6O24: theoretical powder diffractogram (Cu Kα (λ = 1.5418 Å)), based on a structure optimized by DFT (PBE+U).

The 10 most intense peaks (2θ = 10–80°), by intensity:
| 2theta | d (Å) | I/Imax |
| --- | --- | --- |
| 24.42 | 3.645 | 1000 |
| 14.48 | 6.116 | 881 |
| 24.67 | 3.608 | 768 |
| 23.80 | 3.738 | 710 |
| 20.04 | 4.430 | 478 |
| 14.66 | 6.041 | 451 |
| 14.34 | 6.175 | 439 |
| 23.49 | 3.787 | 382 |
| 31.97 | 2.800 | 342 |
| 28.92 | 3.087 | 318 |

```
MgCr3S6O24
1.0
8.3213 0.0000 0.0000
4.0544 7.2966 0.0000
4.1339 2.1683 7.5712
Mg Cr S O
1 3 6 24
direct
0.0000 0.0000 0.0000 Mg
0.2536 0.5134 0.2533 Cr
0.4452 0.7192 0.6433 Cr
0.7594 0.0375 0.7152 Cr
0.0503 0.6524 0.9303 S
0.1465 0.1266 0.4355 S
0.3757 0.8957 0.9425 S
0.5644 0.4080 0.4343 S
0.6307 0.3389 0.9249 S
0.8584 0.8200 0.4353 S
0.0906 0.6340 0.0876 O
0.1177 0.1539 0.2764 O
0.2245 0.0758 0.9764 O
0.2300 0.2596 0.4166 O
0.2380 0.6070 0.7835 O
0.2752 0.9271 0.4955 O
0.3172 0.8757 0.8123 O
0.3574 0.7351 0.1057 O
0.3661 0.4872 0.4223 O
0.4864 0.3532 0.1015 O
0.5764 0.8885 0.8699 O
0.5791 0.2194 0.5752 O
0.5801 0.5416 0.4923 O
0.5978 0.2116 0.8739 O
0.6081 0.5303 0.7952 O
0.6535 0.8345 0.5023 O
0.7202 0.3774 0.2715 O
0.8281 0.2590 0.9314 O
0.8926 0.9545 0.2590 O
0.8968 0.8652 0.5581 O
0.9367 0.8721 0.8798 O
0.9407 0.5453 0.9642 O
0.9516 0.1672 0.5806 O
0.9933 0.6220 0.4277 O
```

=====

No. 6
KFePO4: theoretical powder diffractogram (Cu Kα (λ = 1.5418 Å)), based on a structure optimized by DFT (PBE+U).

The 10 most intense peaks (2θ = 10–80°), by intensity:
| 2theta | d (Å) | I/Imax |
| --- | --- | --- |
| 32.39 | 2.764 | 1000 |
| 30.57 | 2.924 | 940 |
| 46.40 | 1.957 | 322 |
| 33.39 | 2.684 | 284 |
| 33.15 | 2.702 | 267 |
| 22.72 | 3.914 | 259 |
| 31.53 | 2.837 | 253 |
| 26.36 | 3.382 | 204 |
| 34.28 | 2.616 | 163 |
| 54.25 | 1.691 | 162 |

```
KFePO4
1.0
10.4303 0.0000 0.0000
0.0000 6.7630 0.0000
0.0000 0.0000 5.4046
K Fe P O
4 4 4 16
direct
0.0000 0.0000 0.0000 K
0.0000 0.5000 0.0000 K
0.5000 0.0000 0.5000 K
0.5000 0.5000 0.5000 K
0.2023 0.2500 0.4719 Fe
0.2977 0.7500 0.9719 Fe
0.7023 0.2500 0.0281 Fe
0.7977 0.7500 0.5281 Fe
0.1259 0.7500 0.4582 P
0.3741 0.2500 0.9582 P
0.6259 0.7500 0.0418 P
0.8741 0.2500 0.5418 P
0.0212 0.2500 0.6023 O
0.1425 0.7500 0.7439 O
0.1891 0.5655 0.3348 O
0.1891 0.9345 0.3348 O
0.3109 0.0655 0.8348 O
0.3109 0.4345 0.8348 O
0.3575 0.2500 0.2439 O
0.4788 0.7500 0.1023 O
0.5212 0.2500 0.8977 O
0.6425 0.7500 0.7561 O
0.6891 0.5655 0.1652 O
0.6891 0.9345 0.1652 O
0.8109 0.0655 0.6652 O
0.8109 0.4345 0.6652 O
0.8575 0.2500 0.2561 O
0.9788 0.7500 0.3977 O
```